Simulated powder XRD pattern
Compound: SmMgSc2Ga4
Radiation: λ = 1.5418 Å (Cu Kα)
Structure: DFT lattice parameters and positions (PBE)
Neutral-atom scattering factors, no anomalous dispersion.

Most intense lines, 10° ≤ 2θ ≤ 90°, by intensity:
36.33°, I = 1000
37.44°, I = 952
53.16°, I = 374
66.83°, I = 342
21.67°, I = 206
10.79°, I = 184
28.09°, I = 170
67.55°, I = 159
64.63°, I = 159
89.06°, I = 140

Crystal structure
abc: 8.657 8.657 8.657
angles: 32.22 32.22 32.22
Sites, in units of the cell vectors:
Sm1 0.000 0.000 0.000
Mg1 0.500 0.500 0.500
Sc1 0.243 0.243 0.243
Sc2 0.757 0.757 0.757
Ga1 0.126 0.126 0.126
Ga2 0.380 0.380 0.380
Ga3 0.620 0.620 0.620
Ga4 0.874 0.874 0.874